Starting from a GGA-PBE-relaxed structure, the powder XRD pattern of Bi3B2Pd9 was computed for Cu Kα (weighted mean of Kα1 and Kα2).
Lines closer than 0.1° are merged.

Principal peaks in the range 10 to 90 degrees two-theta, in order of rising 2θ:
2.483 Å, I 91; 2.427 Å, I 56; 2.320 Å, I 100; 2.138 Å, I 59; 1.525 Å, I 41; 1.291 Å, I 46

Crystal structure
```
Bi3B2Pd9
1.0
6.100 0.000 0.000
-3.050 5.282 0.000
0.000 0.000 14.561
Bi B Pd
6 4 18
Direct
0.000 0.000 0.250 Bi
0.000 0.000 0.750 Bi
0.333 0.667 0.084 Bi
0.333 0.667 0.416 Bi
0.667 0.333 0.584 Bi
0.667 0.333 0.916 Bi
0.333 0.667 0.659 B
0.333 0.667 0.841 B
0.667 0.333 0.159 B
0.667 0.333 0.341 B
0.005 0.502 0.750 Pd
0.165 0.330 0.582 Pd
0.165 0.330 0.918 Pd
0.165 0.835 0.582 Pd
0.165 0.835 0.918 Pd
0.330 0.165 0.082 Pd
0.330 0.165 0.418 Pd
0.498 0.502 0.750 Pd
0.498 0.995 0.750 Pd
0.502 0.005 0.250 Pd
0.502 0.498 0.250 Pd
0.670 0.835 0.582 Pd
0.670 0.835 0.918 Pd
0.835 0.165 0.082 Pd
0.835 0.165 0.418 Pd
0.835 0.670 0.082 Pd
0.835 0.670 0.418 Pd
0.995 0.498 0.250 Pd
```



Starting from a GGA-PBE-relaxed structure, the powder XRD pattern of K2InSnSe4 was computed for Cu Kα (weighted mean of Kα1 and Kα2).
Lines closer than 0.1° are merged.

Principal peaks in the range 10 to 90 degrees two-theta, in order of rising 2θ:
6.204 Å, I 100; 5.656 Å, I 45; 3.540 Å, I 60; 3.001 Å, I 39; 2.535 Å, I 49; 2.456 Å, I 52

Crystal structure
```
K2InSnSe4
1.0
0.000 7.419 11.313
3.424 0.000 11.313
3.424 7.419 0.000
K In Sn Se
4 2 2 8
Direct
0.059 0.059 0.691 K
0.309 0.309 0.941 K
0.691 0.691 0.059 K
0.941 0.941 0.309 K
0.125 0.125 0.125 In
0.875 0.875 0.875 In
0.375 0.375 0.375 Sn
0.625 0.625 0.625 Sn
0.056 0.314 0.404 Se
0.274 0.596 0.686 Se
0.314 0.056 0.726 Se
0.404 0.726 0.056 Se
0.596 0.274 0.944 Se
0.686 0.944 0.274 Se
0.726 0.404 0.314 Se
0.944 0.686 0.596 Se
```



Starting from a GGA-PBE-relaxed structure, the powder XRD pattern of Co2Cu2P was computed for Cu Kα (weighted mean of Kα1 and Kα2).
Lines closer than 0.1° are merged.

Principal peaks in the range 10 to 90 degrees two-theta, in order of rising 2θ:
3.885 Å, I 9; 2.094 Å, I 100; 2.002 Å, I 23; 1.738 Å, I 20; 1.312 Å, I 15; 1.173 Å, I 13

Crystal structure
```
Co2Cu2P
1.0
5.495 0.000 0.000
0.000 5.495 0.000
0.000 0.000 4.004
Co Cu P
4 4 2
Direct
0.147 0.353 0.000 Co
0.353 0.853 0.000 Co
0.647 0.147 0.000 Co
0.853 0.647 0.000 Co
0.161 0.661 0.500 Cu
0.339 0.161 0.500 Cu
0.661 0.839 0.500 Cu
0.839 0.339 0.500 Cu
0.000 0.000 0.000 P
0.500 0.500 0.000 P
```



Starting from a GGA-PBE-relaxed structure, the powder XRD pattern of HoCdSn4 was computed for Cu Kα (weighted mean of Kα1 and Kα2).
Lines closer than 0.1° are merged.

Principal peaks in the range 10 to 90 degrees two-theta, in order of rising 2θ:
3.079 Å, I 30; 2.626 Å, I 100; 2.514 Å, I 36; 1.676 Å, I 35; 1.540 Å, I 30; 1.134 Å, I 23

Crystal structure
```
HoCdSn4
1.0
0.000 4.355 4.355
4.355 0.000 4.355
4.355 4.355 0.000
Ho Cd Sn
1 1 4
Direct
0.000 0.000 0.000 Ho
0.750 0.750 0.750 Cd
0.375 0.375 0.375 Sn
0.375 0.375 0.875 Sn
0.375 0.875 0.375 Sn
0.875 0.375 0.375 Sn
```



Starting from a GGA-PBE-relaxed structure, the powder XRD pattern of AgHg2Pt was computed for Cu Kα (weighted mean of Kα1 and Kα2).
Lines closer than 0.1° are merged.

Principal peaks in the range 10 to 90 degrees two-theta, in order of rising 2θ:
3.879 Å, I 3; 3.359 Å, I 2; 2.375 Å, I 100; 1.680 Å, I 17; 1.371 Å, I 36; 1.188 Å, I 11

Crystal structure
```
AgHg2Pt
1.0
0.000 3.359 3.359
3.359 0.000 3.359
3.359 3.359 0.000
Ag Hg Pt
1 2 1
Direct
0.000 0.000 0.000 Ag
0.250 0.250 0.250 Hg
0.750 0.750 0.750 Hg
0.500 0.500 0.500 Pt
```